(1)
For LaDy2FeN4, the GGA-PBE geometry in Alexandria gives the theoretical powder diffraction line list in this record (Cu Kα (weighted mean of Kα1 and Kα2)).
Kinematic intensities with the Lorentz-polarization factor, no thermal factor.

Top 10 peaks for 2θ from 15° to 90°, by intensity:
31.25°, 2.862 Å, intensity 100, (1 1 2)
38.44°, 2.342 Å, intensity 85, (1 3 2)
27.78°, 3.212 Å, intensity 72, (0 2 3)
31.04°, 2.881 Å, intensity 61, (0 4 0)
35.90°, 2.501 Å, intensity 40, (1 3 1)
53.27°, 1.720 Å, intensity 38, (0 6 3)
30.82°, 2.901 Å, intensity 34, (0 0 4)
53.39°, 1.716 Å, intensity 33, (2 0 0)
47.97°, 1.896 Å, intensity 32, (1 1 5)
63.07°, 1.474 Å, intensity 23, (2 4 0)

Structural model:
Cell: 3.4329 11.5255 11.6034 Å, 90.00 90.00 90.00°
Space group Cmcm (No. 63)
Asymmetric unit:
La: 0.0000 0.1127 0.2500
Dy: 0.0000 0.3678 0.0448
Fe: 0.0000 0.1593 0.7500
N: 0.0000 0.0000 0.0000
N: 0.0000 0.2663 0.6281
N: 0.0000 0.4064 0.2500

(2)
For Dy6MgFe2, the GGA-PBE geometry in Alexandria gives the theoretical powder diffraction line list in this record (Cu Kα (weighted mean of Kα1 and Kα2)).
Kinematic intensities with the Lorentz-polarization factor, no thermal factor.

Top 10 peaks for 2θ from 15° to 90°, by intensity:
31.87°, 2.808 Å, intensity 100, (2 2 2)
34.04°, 2.633 Å, intensity 32, (2 1 3)
34.82°, 2.576 Å, intensity 31, (2 3 1)
34.38°, 2.608 Å, intensity 23, (1 3 2)
58.43°, 1.580 Å, intensity 21, (2 0 6)
55.72°, 1.650 Å, intensity 20, (3 5 0)
28.20°, 3.165 Å, intensity 19, (0 1 3)
59.48°, 1.554 Å, intensity 18, (5 3 2)
37.96°, 2.370 Å, intensity 17, (4 0 0)
35.08°, 2.558 Å, intensity 16, (3 2 1)

Structural model:
Cell: 9.4809 9.6666 10.0563 Å, 90.00 90.00 90.00°
Space group Immm (No. 71)
Asymmetric unit:
Dy: 0.0000 0.2150 0.2272
Dy: 0.2019 0.5000 0.1912
Dy: 0.2101 0.3125 0.5000
Mg: 0.0000 0.0000 0.0000
Mg: 0.0000 0.0000 0.5000
Fe: 0.0000 0.3855 0.0000
Fe: 0.0000 0.5000 0.3922

(3)
For Dy3MgFe, the GGA-PBE geometry in Alexandria gives the theoretical powder diffraction line list in this record (Cu Kα (weighted mean of Kα1 and Kα2)).
Kinematic intensities with the Lorentz-polarization factor, no thermal factor.

Top 10 peaks for 2θ from 15° to 90°, by intensity:
31.71°, 2.822 Å, intensity 100, (1 1 3)
32.62°, 2.745 Å, intensity 27, (2 1 1)
32.79°, 2.732 Å, intensity 25, (0 0 6)
32.14°, 2.785 Å, intensity 20, (2 1 0)
37.05°, 2.427 Å, intensity 16, (3 0 4)
56.14°, 1.638 Å, intensity 15, (3 1 7)
39.70°, 2.271 Å, intensity 14, (3 1 1)
18.98°, 4.675 Å, intensity 13, (1 0 3)
29.43°, 3.035 Å, intensity 13, (2 0 4)
51.70°, 1.768 Å, intensity 12, (0 2 0)

Structural model:
Cell: 9.0351 3.5365 16.3898 Å, 90.00 90.00 90.00°
Space group Pnma (No. 62)
Asymmetric unit:
Dy: 0.0803 0.2500 0.1471
Dy: 0.2051 0.2500 0.4983
Dy: 0.2396 0.2500 0.8117
Mg: 0.0533 0.7500 0.6605
Fe: 0.0509 0.2500 0.9658